Hf3ScN4: computed powder diffractogram (Cu Kα (λ = 1.5418 Å)), based on a structure optimized by DFT (GGA-PBE).

Main lines, most intense first (2θ = 10–90°):
| 2θ (°) | Rel. int. | hkl |
| --- | --- | --- |
| 34.4 | 100.0 | 1 1 1 |
| 40.0 | 72.5 | 2 0 0 |
| 57.8 | 47.9 | 2 2 0 |
| 69.1 | 42.4 | 3 1 1 |
| 19.7 | 18.6 | 1 0 0 |
| 28.0 | 16.2 | 1 1 0 |

Crystal structure
```
Hf3ScN4
1.0
4.5109 0.0000 0.0000
0.0000 4.5109 0.0000
0.0000 0.0000 4.5109
Hf Sc N
3 1 4
Cartesian
0.0000 0.0000 2.2555
0.0000 2.2555 0.0000
2.2555 0.0000 0.0000
2.2555 2.2555 2.2555
0.0000 0.0000 0.0000
0.0000 2.2555 2.2555
2.2555 0.0000 2.2555
2.2555 2.2555 0.0000
```